Theoretical PXRD pattern of TbCr2O2 for Cu Kα, 1.54184 Å, from a cell relaxed with PBE+U.
No peak broadening, texture or thermal motion is included.

Largest 6 diffraction maxima, low angle first, 5 to 70 degrees two-theta:
d 6.539, I = 48.3; d 3.269, I = 48.2; d 3.158, I = 100.0; d 2.497, I = 52.0; d 2.233, I = 29.6; d 1.844, I = 31.8

Crystal structure
abc: 7.932 7.932 7.932
angles: 111.46 111.46 105.56
Atoms (fractional coordinates):
Tb (0.000, 0.000, 0.000)
Tb (0.000, 0.000, 0.500)
Tb (0.000, 0.500, 0.000)
Tb (0.500, 0.000, 0.500)
Cr (0.083, 0.640, 0.443)
Cr (0.303, 0.360, 0.943)
Cr (0.360, 0.303, 0.443)
Cr (0.360, 0.917, 0.057)
Cr (0.640, 0.083, 0.943)
Cr (0.640, 0.697, 0.557)
Cr (0.697, 0.640, 0.057)
Cr (0.917, 0.360, 0.557)
O (0.207, 0.302, 0.595)
O (0.207, 0.612, 0.905)
O (0.302, 0.207, 0.095)
O (0.388, 0.793, 0.595)
O (0.612, 0.207, 0.405)
O (0.698, 0.793, 0.905)
O (0.793, 0.388, 0.095)
O (0.793, 0.698, 0.405)